1.
For Ta6Cr3Fe3C2, a crystal structure in Alexandria, relaxed with GGA-PBE gives the calculated PXRD pattern in this record (Cu Kα).
Kinematic intensities with the Lorentz-polarization factor, no thermal factor.

Crystal structure
a = 8.086 Å, b = 8.086 Å, c = 8.086 Å
α = 120.16°, β = 119.93°, γ = 89.92°
Fractional positions:
Ta: 0.000 0.000 0.000
Ta: 0.000 0.001 0.611
Ta: 0.000 0.389 0.000
Ta: 0.250 0.139 0.500
Ta: 0.250 0.750 0.111
Ta: 0.251 0.751 0.500
Ta: 0.390 0.001 0.000
Ta: 0.390 0.389 0.389
Ta: 0.390 0.390 0.000
Ta: 0.639 0.139 0.889
Ta: 0.639 0.750 0.500
Ta: 0.641 0.141 0.500
Cr: 0.025 0.369 0.656
Cr: 0.322 0.572 0.751
Cr: 0.713 0.369 0.344
Cr: 0.820 0.069 0.249
Cr: 0.820 0.571 0.751
Cr: 0.821 0.572 0.249
Fe: 0.026 0.369 0.343
Fe: 0.026 0.682 0.657
Fe: 0.618 0.464 0.846
Fe: 0.618 0.772 0.154
Fe: 0.619 0.771 0.848
Fe: 0.923 0.771 0.152
C: 0.319 0.070 0.249
C: 0.320 0.069 0.750
C: 0.320 0.570 0.250
C: 0.820 0.070 0.751

Main lines, in order of rising 2θ (5° ≤ 2θ ≤ 70°):
two_theta, d/Å, I/Imax
31.30, 2.858, 30
34.17, 2.624, 26
38.58, 2.334, 58
41.02, 2.200, 100
44.83, 2.022, 25
57.55, 1.602, 15
69.76, 1.348, 36
69.91, 1.346, 14

=====

2.
For TbCrFeC2, a crystal structure in Alexandria, relaxed with GGA-PBE gives the calculated PXRD pattern in this record (Cu Kα).
Kinematic intensities with the Lorentz-polarization factor, no thermal factor.

Crystal structure
a = 3.521 Å, b = 3.521 Å, c = 9.695 Å
α = 90.00°, β = 90.00°, γ = 90.00°
Fractional positions:
Tb: 0.000 0.000 0.000
Tb: 0.500 0.500 0.500
Cr: 0.000 0.500 0.750
Cr: 0.500 0.000 0.250
Fe: 0.000 0.500 0.250
Fe: 0.500 0.000 0.750
C: 0.000 0.000 0.338
C: 0.000 0.000 0.662
C: 0.500 0.500 0.162
C: 0.500 0.500 0.838

Main lines, in order of rising 2θ (5° ≤ 2θ ≤ 70°):
two_theta, d/Å, I/Imax
26.94, 3.310, 93
37.09, 2.424, 32
37.78, 2.381, 58
40.74, 2.215, 100
51.94, 1.761, 29
59.47, 1.554, 22
65.53, 1.424, 23
69.33, 1.355, 23

=====

3.
For Cr7Ge2C2, a crystal structure in Alexandria, relaxed with GGA-PBE gives the calculated PXRD pattern in this record (Cu Kα).
Kinematic intensities with the Lorentz-polarization factor, no thermal factor.

Crystal structure
a = 5.050 Å, b = 5.050 Å, c = 5.556 Å
α = 90.00°, β = 90.00°, γ = 107.98°
Fractional positions:
Cr: 0.000 0.000 0.000
Cr: 0.000 0.500 0.238
Cr: 0.000 0.500 0.762
Cr: 0.500 0.000 0.238
Cr: 0.500 0.000 0.762
Cr: 0.500 0.500 0.183
Cr: 0.500 0.500 0.817
Ge: 0.210 0.210 0.500
Ge: 0.790 0.790 0.500
C: 0.270 0.730 0.000
C: 0.730 0.270 0.000

Main lines, in order of rising 2θ (5° ≤ 2θ ≤ 70°):
two_theta, d/Å, I/Imax
34.25, 2.618, 56
37.42, 2.403, 80
39.22, 2.297, 73
40.94, 2.204, 62
44.35, 2.042, 69
50.22, 1.817, 100
57.20, 1.610, 22
62.59, 1.484, 21

=====

4.
For Mn2CrGeC, a crystal structure in Alexandria, relaxed with GGA-PBE gives the calculated PXRD pattern in this record (Cu Kα).
Kinematic intensities with the Lorentz-polarization factor, no thermal factor.

Crystal structure
a = 3.795 Å, b = 3.795 Å, c = 3.902 Å
α = 90.00°, β = 90.00°, γ = 90.00°
Fractional positions:
Mn: 0.000 0.500 0.000
Mn: 0.500 0.000 0.000
Cr: 0.000 0.000 0.500
Ge: 0.500 0.500 0.500
C: 0.000 0.000 0.000

Main lines, in order of rising 2θ (5° ≤ 2θ ≤ 70°):
two_theta, d/Å, I/Imax
32.92, 2.721, 4
33.39, 2.684, 1
40.81, 2.211, 100
46.55, 1.951, 20
47.94, 1.898, 36
59.38, 1.556, 1
69.05, 1.360, 22

=====

5.
For PuCr2GeC, a crystal structure in Alexandria, relaxed with GGA-PBE gives the calculated PXRD pattern in this record (Cu Kα).
Kinematic intensities with the Lorentz-polarization factor, no thermal factor.

Crystal structure
a = 5.627 Å, b = 5.627 Å, c = 5.401 Å
α = 90.00°, β = 90.00°, γ = 123.45°
Fractional positions:
Pu: 0.238 0.762 0.750
Pu: 0.762 0.238 0.250
Cr: 0.302 0.302 0.000
Cr: 0.302 0.302 0.500
Cr: 0.698 0.698 0.000
Cr: 0.698 0.698 0.500
Ge: 0.131 0.869 0.250
Ge: 0.869 0.131 0.750
C: 0.376 0.624 0.250
C: 0.624 0.376 0.750

Main lines, in order of rising 2θ (5° ≤ 2θ ≤ 70°):
two_theta, d/Å, I/Imax
17.90, 4.955, 26
25.13, 3.543, 89
36.05, 2.491, 100
37.94, 2.371, 65
38.35, 2.347, 55
47.96, 1.897, 45
52.06, 1.757, 36
61.15, 1.516, 22

=====

6.
For Sc2Cr2Ge2C, a crystal structure in Alexandria, relaxed with GGA-PBE gives the calculated PXRD pattern in this record (Cu Kα).
Kinematic intensities with the Lorentz-polarization factor, no thermal factor.

Crystal structure
a = 3.905 Å, b = 3.905 Å, c = 13.768 Å
α = 90.00°, β = 90.00°, γ = 90.00°
Fractional positions:
Sc: 0.000 0.000 0.165
Sc: 0.000 0.000 0.835
Sc: 0.500 0.500 0.335
Sc: 0.500 0.500 0.665
Cr: 0.000 0.500 0.000
Cr: 0.000 0.500 0.500
Cr: 0.500 0.000 0.000
Cr: 0.500 0.000 0.500
Ge: 0.000 0.000 0.374
Ge: 0.000 0.000 0.626
Ge: 0.500 0.500 0.126
Ge: 0.500 0.500 0.874
C: 0.000 0.000 0.000
C: 0.500 0.500 0.500

Main lines, in order of rising 2θ (5° ≤ 2θ ≤ 70°):
two_theta, d/Å, I/Imax
12.86, 6.884, 33
32.43, 2.761, 24
35.02, 2.563, 39
40.07, 2.250, 32
41.95, 2.154, 100
46.52, 1.952, 53
63.04, 1.475, 15
67.90, 1.381, 16